The following is a simulated PXRD pattern of Sm3ErMg6. It was derived from a cell relaxed with PBE, using a wavelength of 1.5418 Å.
Kinematic intensities with the Lorentz-polarization factor, no thermal factor.

Top 10 peaks for 2θ from 10° to 90°, in order of falling intensity:
2θ (°), I (rel.)
23.66, 100
33.33, 95
33.46, 95
23.23, 52
33.56, 46
33.85, 46
60.27, 35
48.41, 34
59.58, 25
41.46, 23

Structural model:
a b c (Å): 9.360 5.296 11.326
angles (deg): 90.00 105.34 90.00
Element x y z (fractional)
Sm1 0.040 0.250 0.396
Sm2 0.150 0.750 0.209
Sm3 0.253 0.250 0.005
Sm4 0.747 0.750 0.995
Sm5 0.850 0.250 0.791
Sm6 0.960 0.750 0.604
Er1 0.451 0.250 0.599
Er2 0.549 0.750 0.401
Mg1 0.060 0.750 0.902
Mg2 0.168 0.250 0.707
Mg3 0.262 0.750 0.514
Mg4 0.355 0.750 0.808
Mg5 0.363 0.250 0.304
Mg6 0.454 0.750 0.103
Mg7 0.546 0.250 0.897
Mg8 0.637 0.750 0.696
Mg9 0.645 0.250 0.192
Mg10 0.738 0.250 0.486
Mg11 0.832 0.750 0.293
Mg12 0.940 0.250 0.098

=====

The following is a simulated PXRD pattern of K2NaCoC6N6. It was derived from a cell relaxed with PBE, using a wavelength of 1.5418 Å.
Kinematic intensities with the Lorentz-polarization factor, no thermal factor.

Top 10 peaks for 2θ from 10° to 90°, in order of falling intensity:
2θ (°), I (rel.)
24.05, 100
24.29, 95
14.44, 76
34.49, 56
17.04, 50
43.24, 48
23.45, 43
28.83, 41
15.13, 41
34.38, 39

Structural model:
a b c (Å): 7.143 7.587 12.565
angles (deg): 90.00 123.87 90.00
Element x y z (fractional)
K1 0.222 0.073 0.247
K2 0.222 0.427 0.747
K3 0.778 0.573 0.253
K4 0.778 0.927 0.753
Na1 0.000 0.000 0.500
Na2 0.000 0.500 0.000
Co1 0.500 0.000 0.000
Co2 0.500 0.500 0.500
C1 0.248 0.131 0.963
C2 0.248 0.369 0.463
C3 0.326 0.706 0.453
C4 0.326 0.794 0.953
C5 0.414 0.027 0.830
C6 0.414 0.473 0.330
C7 0.586 0.527 0.670
C8 0.586 0.973 0.170
C9 0.674 0.206 0.047
C10 0.674 0.294 0.547
C11 0.752 0.631 0.537
C12 0.752 0.869 0.037
N1 0.088 0.211 0.938
N2 0.088 0.289 0.438
N3 0.214 0.666 0.922
N4 0.214 0.834 0.422
N5 0.358 0.047 0.723
N6 0.358 0.453 0.223
N7 0.642 0.547 0.777
N8 0.642 0.953 0.277
N9 0.786 0.166 0.578
N10 0.786 0.334 0.078
N11 0.912 0.711 0.562
N12 0.912 0.789 0.062

=====

The following is a simulated PXRD pattern of PmPuMg17. It was derived from a cell relaxed with PBE, using a wavelength of 1.5418 Å.
Kinematic intensities with the Lorentz-polarization factor, no thermal factor.

Top 10 peaks for 2θ from 10° to 90°, in order of falling intensity:
2θ (°), I (rel.)
35.02, 100
24.64, 64
17.28, 42
30.16, 35
11.52, 29
15.30, 25
35.65, 23
50.34, 21
63.18, 20
30.93, 20

Structural model:
a b c (Å): 7.810 7.810 7.810
angles (deg): 82.17 82.17 82.17
Element x y z (fractional)
Pm1 0.000 0.000 0.000
Pu1 0.660 0.660 0.660
Mg1 0.028 0.330 0.631
Mg2 0.028 0.631 0.330
Mg3 0.171 0.683 0.683
Mg4 0.231 0.231 0.231
Mg5 0.329 0.329 0.830
Mg6 0.329 0.830 0.329
Mg7 0.330 0.028 0.631
Mg8 0.330 0.631 0.028
Mg9 0.430 0.430 0.430
Mg10 0.489 0.976 0.976
Mg11 0.631 0.028 0.330
Mg12 0.631 0.330 0.028
Mg13 0.683 0.171 0.683
Mg14 0.683 0.683 0.171
Mg15 0.830 0.329 0.329
Mg16 0.976 0.489 0.976
Mg17 0.976 0.976 0.489

=====

The following is a simulated PXRD pattern of SrTlHg14. It was derived from a cell relaxed with PBE, using a wavelength of 1.5418 Å.
Kinematic intensities with the Lorentz-polarization factor, no thermal factor.

Top 10 peaks for 2θ from 10° to 90°, in order of falling intensity:
2θ (°), I (rel.)
32.51, 100
35.11, 21
35.50, 20
61.35, 17
61.87, 16
50.79, 15
42.17, 12
68.08, 12
56.00, 11
56.27, 10

Structural model:
a b c (Å): 7.191 7.191 8.571
angles (deg): 90.00 90.00 90.62
Element x y z (fractional)
Sr1 0.000 0.000 0.000
Tl1 0.500 0.500 0.000
Hg1 0.000 0.000 0.500
Hg2 0.000 0.500 0.000
Hg3 0.000 0.500 0.500
Hg4 0.252 0.748 0.260
Hg5 0.252 0.748 0.740
Hg6 0.253 0.253 0.261
Hg7 0.253 0.253 0.739
Hg8 0.500 0.000 0.000
Hg9 0.500 0.000 0.500
Hg10 0.500 0.500 0.500
Hg11 0.747 0.747 0.261
Hg12 0.747 0.747 0.739
Hg13 0.748 0.252 0.260
Hg14 0.748 0.252 0.740

=====

The following is a simulated PXRD pattern of LiMg2Au2. It was derived from a cell relaxed with PBE, using a wavelength of 1.5418 Å.
Kinematic intensities with the Lorentz-polarization factor, no thermal factor.

Top 10 peaks for 2θ from 10° to 90°, in order of falling intensity:
2θ (°), I (rel.)
38.81, 100
25.40, 88
15.99, 31
36.23, 30
28.84, 27
22.68, 26
56.82, 22
71.63, 21
49.31, 20
58.14, 18

Structural model:
a b c (Å): 7.840 7.840 3.096
angles (deg): 90.00 90.00 90.00
Element x y z (fractional)
Li1 0.000 0.000 0.000
Li2 0.500 0.500 0.000
Mg1 0.136 0.364 0.000
Mg2 0.364 0.864 0.000
Mg3 0.636 0.136 0.000
Mg4 0.864 0.636 0.000
Au1 0.161 0.661 0.500
Au2 0.339 0.161 0.500
Au3 0.661 0.839 0.500
Au4 0.839 0.339 0.500

=====

The following is a simulated PXRD pattern of NaAc4Hg3. It was derived from a cell relaxed with PBE, using a wavelength of 1.5418 Å.
Kinematic intensities with the Lorentz-polarization factor, no thermal factor.

Top 10 peaks for 2θ from 10° to 90°, in order of falling intensity:
2θ (°), I (rel.)
30.91, 100
31.10, 50
55.21, 40
54.85, 20
44.55, 19
64.41, 12
89.95, 11
89.47, 10
44.00, 9
73.65, 9

Structural model:
a b c (Å): 5.752 5.752 8.232
angles (deg): 90.00 90.00 90.00
Element x y z (fractional)
Na1 0.000 0.000 0.000
Ac1 0.000 0.500 0.262
Ac2 0.000 0.500 0.738
Ac3 0.500 0.000 0.262
Ac4 0.500 0.000 0.738
Hg1 0.000 0.000 0.500
Hg2 0.500 0.500 0.000
Hg3 0.500 0.500 0.500